Entry 1:
Diffraction record for PbO2F5. The X-ray diffraction stick pattern is simulated, not measured: it uses a GGA-PBE-relaxed structure and λ = 1.5418 Å (Cu Kα).
Neutral-atom scattering factors, no anomalous dispersion.

Principal peaks in the range 2θ from 5° to 70°, in order of rising 2θ:
| 2θ/deg | intensity |
| --- | --- |
| 14.4 | 100 |
| 17.7 | 51 |
| 21.7 | 57 |
| 22.5 | 33 |
| 23.3 | 54 |
| 23.6 | 30 |
| 23.9 | 45 |
| 24.0 | 38 |
| 35.8 | 28 |
| 44.3 | 25 |

Crystal structure
```
PbO2F5
1.0
4.380 0.000 0.000
1.913 5.036 0.000
2.031 0.620 6.145
Pb O F
1 2 5
Direct
0.000 0.000 0.000
0.494 0.406 0.471
0.506 0.594 0.529
0.060 0.195 0.691
0.227 0.635 0.864
0.500 0.000 0.000
0.773 0.365 0.136
0.940 0.805 0.309
```

Entry 2:
Diffraction record for Pb4O3F. The X-ray diffraction stick pattern is simulated, not measured: it uses a GGA-PBE-relaxed structure and λ = 1.5418 Å (Cu Kα).
Neutral-atom scattering factors, no anomalous dispersion.

Principal peaks in the range 2θ from 5° to 70°, in order of rising 2θ:
| 2θ/deg | intensity |
| --- | --- |
| 14.2 | 13 |
| 24.9 | 42 |
| 26.3 | 47 |
| 28.6 | 100 |
| 32.7 | 49 |
| 43.1 | 24 |
| 44.9 | 18 |
| 53.3 | 12 |
| 54.2 | 16 |
| 57.9 | 13 |

Crystal structure
```
Pb4O3F
1.0
7.314 0.000 0.000
0.000 3.612 0.000
-1.507 0.000 14.330
Pb O F
8 6 2
Direct
0.042 0.250 0.248
0.196 0.250 0.958
0.263 0.750 0.488
0.447 0.250 0.729
0.553 0.750 0.271
0.737 0.250 0.512
0.804 0.750 0.042
0.958 0.750 0.752
0.009 0.750 0.922
0.154 0.250 0.781
0.392 0.250 0.572
0.608 0.750 0.428
0.846 0.750 0.219
0.991 0.250 0.078
0.034 0.750 0.591
0.966 0.250 0.409
```

Entry 3:
Diffraction record for PuPb3O6F2. The X-ray diffraction stick pattern is simulated, not measured: it uses a GGA-PBE-relaxed structure and λ = 1.5418 Å (Cu Kα).
Neutral-atom scattering factors, no anomalous dispersion.

Principal peaks in the range 2θ from 5° to 70°, in order of rising 2θ:
| 2θ/deg | intensity |
| --- | --- |
| 17.8 | 56 |
| 22.8 | 58 |
| 23.3 | 85 |
| 28.4 | 57 |
| 29.3 | 100 |
| 30.1 | 28 |
| 34.2 | 32 |
| 46.6 | 41 |
| 47.7 | 38 |
| 50.8 | 33 |

Crystal structure
```
PuPb3O6F2
1.0
6.301 -3.479 0.000
6.301 3.479 0.000
-0.215 0.000 4.981
Pu Pb O F
1 3 6 2
Direct
0.000 0.000 0.000
0.000 0.500 0.000
0.500 0.000 0.000
0.500 0.500 0.500
0.138 0.138 0.210
0.145 0.724 0.212
0.276 0.855 0.788
0.724 0.145 0.212
0.855 0.276 0.788
0.862 0.862 0.790
0.328 0.328 0.715
0.672 0.672 0.285
```